Entry 1:
The following is a theoretical powder XRD pattern of Tl2CrCo. It was derived from a GGA-PBE-relaxed structure, using Cu Kα, 1.54184 Å.

The 8 most intense peaks (5 to 70 degrees two-theta), in order of rising 2θ:
22.28°, d 3.990, intensity 17
30.80°, d 2.903, intensity 98
33.70°, d 2.660, intensity 35
36.58°, d 2.456, intensity 100
40.94°, d 2.204, intensity 62
54.03°, d 1.697, intensity 37
59.29°, d 1.559, intensity 21
68.30°, d 1.373, intensity 21

Atomic structure:
```
4
Lattice="3.1172 0.0000 0.0000 0.0000 3.1172 0.0000 0.0000 0.0000 7.9792" Properties=species:S:1:pos:R:3 pbc="T T T"
Tl 0.0000 0.0000 0.0000
Tl 1.5586 1.5586 2.8715
Cr 1.5586 1.5586 5.9010
Co 0.0000 0.0000 4.8209
```

***

Entry 2:
The following is a theoretical powder XRD pattern of Pu3AsH3. It was derived from a GGA-PBE-relaxed structure, using Cu Kα, 1.54184 Å.

The 8 most intense peaks (5 to 70 degrees two-theta), in order of rising 2θ:
26.74°, d 3.333, intensity 13
27.59°, d 3.233, intensity 20
30.16°, d 2.963, intensity 100
38.80°, d 2.321, intensity 28
47.23°, d 1.925, intensity 23
50.42°, d 1.810, intensity 21
55.57°, d 1.654, intensity 17
57.05°, d 1.614, intensity 19

Atomic structure:
```
14
Lattice="3.3335 1.9246 6.4657 -3.3335 1.9246 6.4657 0.0000 -3.8492 6.4657" Properties=species:S:1:pos:R:3 pbc="T T T"
Pu -1.0405 -2.0390 8.2279
Pu -2.2860 -0.1184 11.1694
Pu -1.2456 1.9205 8.2279
Pu 1.2456 -1.9205 11.1694
Pu 2.2860 0.1184 8.2278
Pu 1.0405 2.0390 11.1694
As 0.0000 0.0000 6.4644
As 0.0000 0.0000 12.9328
H -2.1452 -0.1247 8.8881
H -0.9646 -1.9201 10.5091
H 1.1806 -1.7954 8.8881
H -1.1806 1.7954 10.5091
H 0.9646 1.9201 8.8881
H 2.1452 0.1247 10.5091
```

***

Entry 3:
The following is a theoretical powder XRD pattern of Sr2CdAg2Pd5. It was derived from a GGA-PBE-relaxed structure, using Cu Kα, 1.54184 Å.

The 8 most intense peaks (5 to 70 degrees two-theta), in order of rising 2θ:
33.52°, d 2.673, intensity 21
35.89°, d 2.502, intensity 100
36.83°, d 2.441, intensity 27
37.93°, d 2.372, intensity 14
39.20°, d 2.298, intensity 36
42.29°, d 2.137, intensity 13
44.75°, d 2.025, intensity 24
59.29°, d 1.559, intensity 13

Atomic structure:
```
20
Lattice="10.0633 0.0000 0.0000 0.0000 10.0633 0.0000 0.0000 0.0000 4.0503" Properties=species:S:1:pos:R:3 pbc="T T T"
Sr 1.7535 3.2781 0.0000
Sr 3.2781 8.3097 0.0000
Sr 6.7852 1.7535 0.0000
Sr 8.3097 6.7852 0.0000
Cd 0.0000 0.0000 0.0000
Cd 5.0316 5.0316 0.0000
Ag 1.2600 6.2916 0.0000
Ag 3.7716 1.2600 0.0000
Ag 6.2916 8.8033 0.0000
Ag 8.8033 3.7716 0.0000
Pd 0.0000 5.0316 2.0252
Pd 0.5745 8.0747 2.0252
Pd 1.9886 0.5745 2.0252
Pd 3.0430 5.6061 2.0252
Pd 4.4572 3.0430 2.0252
Pd 5.0316 0.0000 2.0252
Pd 5.6061 7.0202 2.0252
Pd 7.0202 4.4572 2.0252
Pd 8.0747 9.4888 2.0252
Pd 9.4888 1.9886 2.0252
```

***

Entry 4:
The following is a theoretical powder XRD pattern of Te2POs12. It was derived from a GGA-PBE-relaxed structure, using Cu Kα, 1.54184 Å.

The 8 most intense peaks (5 to 70 degrees two-theta), in order of rising 2θ:
8.94°, d 9.895, intensity 100
37.00°, d 2.429, intensity 37
37.35°, d 2.408, intensity 35
38.03°, d 2.366, intensity 76
40.97°, d 2.203, intensity 57
42.24°, d 2.140, intensity 34
45.47°, d 1.995, intensity 56
47.53°, d 1.913, intensity 33

Atomic structure:
```
15
Lattice="4.7160 0.0000 0.0000 1.6922 5.3215 0.0000 2.3092 0.6678 9.8947" Properties=species:S:1:pos:R:3 pbc="T T T"
Te 2.1159 1.7271 3.1977
Te 6.6014 4.2622 6.6970
P 4.3587 2.9947 4.9474
Os 3.0530 4.4526 2.9712
Os 1.5287 0.8909 0.4915
Os 3.8924 3.0606 8.2258
Os 2.4723 3.6303 0.5163
Os 4.7547 5.7091 8.1769
Os 3.2388 1.2703 5.7034
Os 5.4785 4.7191 4.1913
Os 3.9626 0.2802 1.7178
Os 6.2450 2.3590 9.3784
Os 4.8249 2.9287 1.6689
Os 7.1886 5.0985 9.4032
Os 5.6643 1.5367 6.9235
```

***

Copy entry 3 word for word.
The following is a theoretical powder XRD pattern of Sr2CdAg2Pd5. It was derived from a GGA-PBE-relaxed structure, using Cu Kα, 1.54184 Å.

The 8 most intense peaks (5 to 70 degrees two-theta), in order of rising 2θ:
33.52°, d 2.673, intensity 21
35.89°, d 2.502, intensity 100
36.83°, d 2.441, intensity 27
37.93°, d 2.372, intensity 14
39.20°, d 2.298, intensity 36
42.29°, d 2.137, intensity 13
44.75°, d 2.025, intensity 24
59.29°, d 1.559, intensity 13

Atomic structure:
```
20
Lattice="10.0633 0.0000 0.0000 0.0000 10.0633 0.0000 0.0000 0.0000 4.0503" Properties=species:S:1:pos:R:3 pbc="T T T"
Sr 1.7535 3.2781 0.0000
Sr 3.2781 8.3097 0.0000
Sr 6.7852 1.7535 0.0000
Sr 8.3097 6.7852 0.0000
Cd 0.0000 0.0000 0.0000
Cd 5.0316 5.0316 0.0000
Ag 1.2600 6.2916 0.0000
Ag 3.7716 1.2600 0.0000
Ag 6.2916 8.8033 0.0000
Ag 8.8033 3.7716 0.0000
Pd 0.0000 5.0316 2.0252
Pd 0.5745 8.0747 2.0252
Pd 1.9886 0.5745 2.0252
Pd 3.0430 5.6061 2.0252
Pd 4.4572 3.0430 2.0252
Pd 5.0316 0.0000 2.0252
Pd 5.6061 7.0202 2.0252
Pd 7.0202 4.4572 2.0252
Pd 8.0747 9.4888 2.0252
Pd 9.4888 1.9886 2.0252
```